Structure and calculated X-ray diffraction stick pattern of Cu3Ir (a GGA-PBE-relaxed structure; CuKα).
Neutral-atom scattering factors, no anomalous dispersion.

Structural model:
```
data_Cu3Ir
_chemical_formula_sum 'Cu6 Ir2'
_symmetry_space_group_name_H-M 'C m m m'
_symmetry_Int_Tables_number 65
_symmetry_space_group_name_Hall '-C 2 2'
_cell_length_a 5.284
_cell_length_b 7.397
_cell_length_c 2.613
_cell_angle_alpha 90.00
_cell_angle_beta 90.00
_cell_angle_gamma 90.00
loop_
_atom_site_label
_atom_site_fract_x
_atom_site_fract_y
_atom_site_fract_z
_atom_site_occupancy
Cu1 0.000 0.000 0.000 1
Cu2 0.250 0.250 0.500 1
Ir1 0.000 0.500 0.000 1
```

Largest 10 diffraction maxima, sorted by position, 2θ = 10–80°:
| Position (°2θ) | Rel. int. |
| --- | --- |
| 20.66 | 55 |
| 24.06 | 19 |
| 40.38 | 31 |
| 42.03 | 100 |
| 42.35 | 98 |
| 49.03 | 63 |
| 49.28 | 31 |
| 71.41 | 10 |
| 72.06 | 38 |
| 72.32 | 9 |

Structure and calculated X-ray diffraction stick pattern of Ho4Tl2Pd (a GGA-PBE-relaxed structure; CuKα).
Neutral-atom scattering factors, no anomalous dispersion.

Structural model:
```
data_Ho4Tl2Pd
_chemical_formula_sum 'Ho4 Tl2 Pd1'
_symmetry_space_group_name_H-M 'P 1 2/m 1'
_symmetry_Int_Tables_number 10
_symmetry_space_group_name_Hall '-P 2y'
_cell_length_a 6.806
_cell_length_b 3.729
_cell_length_c 8.511
_cell_angle_alpha 90.00
_cell_angle_beta 107.45
_cell_angle_gamma 90.00
loop_
_atom_site_label
_atom_site_fract_x
_atom_site_fract_y
_atom_site_fract_z
_atom_site_occupancy
Ho1 0.088 0.000 0.289 1
Ho2 0.364 0.500 0.680 1
Tl1 0.238 0.500 0.005 1
Pd1 0.500 0.000 0.500 1
```

Largest 10 diffraction maxima, sorted by position, 2θ = 10–80°:
| Position (°2θ) | Rel. int. |
| --- | --- |
| 26.30 | 47 |
| 29.64 | 52 |
| 31.27 | 31 |
| 32.63 | 100 |
| 32.73 | 89 |
| 33.10 | 44 |
| 36.71 | 47 |
| 46.89 | 56 |
| 48.85 | 30 |
| 60.00 | 36 |

Structure and calculated X-ray diffraction stick pattern of ZrAg3 (a GGA-PBE-relaxed structure; CuKα).
Neutral-atom scattering factors, no anomalous dispersion.

Structural model:
```
data_ZrAg3
_chemical_formula_sum 'Zr2 Ag6'
_symmetry_space_group_name_H-M 'P 4/n m m'
_symmetry_Int_Tables_number 129
_cell_length_a 3.496
_cell_length_b 3.496
_cell_length_c 12.613
_cell_angle_alpha 90.00
_cell_angle_beta 90.00
_cell_angle_gamma 90.00
loop_
_symmetry_equiv_pos_as_xyz
'x,y,z'
'-x,-y,-z'
'-y+1/2,x,z'
'y+1/2,-x,-z'
'-x+1/2,-y+1/2,z'
'x+1/2,y+1/2,-z'
'y,-x+1/2,z'
'-y,x+1/2,-z'
'x+1/2,-y,-z'
'-x+1/2,y,z'
'-y,-x,-z'
'y,x,z'
'-x,y+1/2,-z'
'x,-y+1/2,z'
'y+1/2,x+1/2,-z'
'-y+1/2,-x+1/2,z'
loop_
_atom_site_label
_atom_site_fract_x
_atom_site_fract_y
_atom_site_fract_z
_atom_site_occupancy
Zr1 0.250 0.250 0.075 1
Ag1 0.250 0.250 0.324 1
Ag2 0.250 0.250 0.560 1
Ag3 0.250 0.250 0.795 1
```

Largest 10 diffraction maxima, sorted by position, 2θ = 10–80°:
| Position (°2θ) | Rel. int. |
| --- | --- |
| 33.33 | 2 |
| 36.35 | 64 |
| 38.45 | 100 |
| 44.28 | 7 |
| 52.34 | 22 |
| 58.54 | 5 |
| 66.79 | 38 |
| 70.90 | 15 |
| 77.18 | 7 |
| 78.45 | 3 |